TmFeNiGe2: simulated X-ray diffraction stick pattern (Cu Kα), based on a PBE-relaxed structure.
Neutral-atom scattering factors, no anomalous dispersion.

The 8 most intense peaks (15° ≤ 2θ ≤ 90°), in order of falling intensity:
2θ 34.92, intensity 100.0, hkl 1 0 3
2θ 36.79, intensity 99.3, hkl 1 1 2
2θ 46.09, intensity 59.4, hkl 2 0 0
2θ 59.10, intensity 43.6, hkl 2 1 3
2θ 50.49, intensity 35.6, hkl 1 0 5
2θ 32.14, intensity 31.2, hkl 1 1 0
2θ 70.75, intensity 25.8, hkl 2 1 5
2θ 79.17, intensity 20.2, hkl 3 1 2

Cell and atoms:
Cell lengths 3.939, 3.939, 10.171 Å; angles 90.00, 90.00, 90.00 degrees
Atoms (fractional coordinates):
1 Tm 0.000 0.000 0.000
2 Tm 0.500 0.500 0.500
3 Fe 0.000 0.500 0.750
4 Fe 0.500 0.000 0.250
5 Ni 0.000 0.500 0.250
6 Ni 0.500 0.000 0.750
7 Ge 0.000 0.000 0.375
8 Ge 0.000 0.000 0.625
9 Ge 0.500 0.500 0.125
10 Ge 0.500 0.500 0.875

FeSi16Ge14P: simulated X-ray diffraction stick pattern (Cu Kα), based on a PBE-relaxed structure.
Neutral-atom scattering factors, no anomalous dispersion.

The 8 most intense peaks (15° ≤ 2θ ≤ 90°), in order of falling intensity:
2θ 27.89, intensity 100.0, hkl 1 0 8
2θ 46.40, intensity 46.5, hkl 0 2 0
2θ 27.67, intensity 33.4, hkl 1 0 -8
2θ 46.05, intensity 31.8, hkl 2 1 -8
2θ 55.01, intensity 22.1, hkl 1 2 8
2θ 54.73, intensity 19.1, hkl 3 1 0
2θ 46.24, intensity 15.4, hkl 0 0 16
2θ 86.07, intensity 11.9, hkl 2 3 8

Cell and atoms:
Cell lengths 5.563, 3.915, 31.417 Å; angles 90.00, 90.60, 90.00 degrees
Atoms (fractional coordinates):
1 Fe 0.000 0.000 0.000
2 Si 0.001 0.000 0.252
3 Si 0.001 0.000 0.504
4 Si 0.007 0.000 0.754
5 Si 0.210 0.000 0.062
6 Si 0.247 0.000 0.191
7 Si 0.247 0.000 0.817
8 Si 0.249 0.000 0.444
9 Si 0.249 0.000 0.692
10 Si 0.488 0.500 0.191
11 Si 0.489 0.500 0.442
12 Si 0.492 0.500 0.691
13 Si 0.500 0.500 0.946
14 Si 0.728 0.500 0.130
15 Si 0.737 0.500 0.382
16 Si 0.749 0.500 0.632
17 Si 0.990 0.000 0.632
18 Ge 0.012 0.000 0.881
19 Ge 0.237 0.000 0.569
20 Ge 0.238 0.000 0.317
21 Ge 0.467 0.500 0.068
22 Ge 0.497 0.500 0.817
23 Ge 0.501 0.500 0.318
24 Ge 0.501 0.500 0.569
25 Ge 0.744 0.500 0.883
26 Ge 0.750 0.500 0.253
27 Ge 0.750 0.500 0.504
28 Ge 0.754 0.500 0.753
29 Ge 0.769 0.500 0.010
30 Ge 0.983 0.000 0.129
31 Ge 0.989 0.000 0.382
32 P 0.255 0.000 0.946

FeSi15Ge13P3: simulated X-ray diffraction stick pattern (Cu Kα), based on a PBE-relaxed structure.
Neutral-atom scattering factors, no anomalous dispersion.

The 8 most intense peaks (15° ≤ 2θ ≤ 90°), in order of falling intensity:
2θ 28.03, intensity 100.0, hkl 1 0 4
2θ 27.77, intensity 97.5, hkl 1 0 -4
2θ 46.39, intensity 68.0, hkl 2 2 -4
2θ 46.13, intensity 47.0, hkl 0 4 0
2θ 54.90, intensity 27.7, hkl 3 -2 0
2θ 46.75, intensity 21.9, hkl 2 2 4
2θ 54.75, intensity 14.5, hkl 1 -4 4
2θ 67.50, intensity 13.9, hkl 0 4 -8

Cell and atoms:
Cell lengths 5.518, 7.864, 15.670 Å; angles 90.04, 90.57, 90.52 degrees
Atoms (fractional coordinates):
1 Fe 0.000 0.000 0.000
2 Si 0.005 0.480 0.250
3 Si 0.005 0.480 0.753
4 Si 0.015 0.989 0.758
5 Si 0.245 0.979 0.114
6 Si 0.246 0.477 0.126
7 Si 0.252 0.989 0.887
8 Si 0.253 0.986 0.635
9 Si 0.271 0.478 0.636
10 Si 0.513 0.228 0.881
11 Si 0.516 0.230 0.375
12 Si 0.759 0.231 0.757
13 Si 0.759 0.233 0.252
14 Si 0.763 0.728 0.249
15 Si 0.776 0.736 0.757
16 Si 0.992 0.476 0.004
17 Ge 0.008 0.983 0.245
18 Ge 0.030 0.480 0.509
19 Ge 0.256 0.984 0.377
20 Ge 0.257 0.475 0.881
21 Ge 0.265 0.477 0.376
22 Ge 0.497 0.730 0.126
23 Ge 0.502 0.230 0.124
24 Ge 0.509 0.741 0.879
25 Ge 0.514 0.738 0.635
26 Ge 0.524 0.735 0.376
27 Ge 0.756 0.230 0.507
28 Ge 0.772 0.735 0.508
29 Ge 0.785 0.744 0.005
30 P 0.025 0.987 0.509
31 P 0.502 0.230 0.636
32 P 0.766 0.227 0.001